No. 1
Simulated powder diffraction line list of Mg15Cd2Hg2 for CuKα, from a GGA-PBE-relaxed structure.
Kinematic intensities with the Lorentz-polarization factor, no thermal factor.

Crystal structure
a = 7.8276 Å, b = 7.8276 Å, c = 7.8276 Å
α = 80.03°, β = 80.03°, γ = 80.03°
Fractional coordinates of all 19 atoms:
Mg 0.0000 0.0000 0.5000
Mg 0.0000 0.3275 0.6725
Mg 0.0000 0.5000 0.0000
Mg 0.0000 0.6725 0.3275
Mg 0.1619 0.6634 0.6634
Mg 0.3275 0.0000 0.6725
Mg 0.3275 0.6725 0.0000
Mg 0.3366 0.3366 0.8381
Mg 0.3366 0.8381 0.3366
Mg 0.5000 0.0000 0.0000
Mg 0.6634 0.1619 0.6634
Mg 0.6634 0.6634 0.1619
Mg 0.6725 0.0000 0.3275
Mg 0.6725 0.3275 0.0000
Mg 0.8381 0.3366 0.3366
Cd 0.3195 0.3195 0.3195
Cd 0.6805 0.6805 0.6805
Hg 0.0999 0.0999 0.0999
Hg 0.9001 0.9001 0.9001

Main lines, sorted by position (10 to 90 degrees two-theta):
2θ/deg  intensity
11.6  57
17.6  100
24.8  26
30.2  42
30.8  60
35.2  32
35.7  50
39.6  42

=====

No. 2
Simulated powder diffraction line list of MgCd6Hg3 for CuKα, from a GGA-PBE-relaxed structure.
Kinematic intensities with the Lorentz-polarization factor, no thermal factor.

Crystal structure
a = 5.4746 Å, b = 8.6376 Å, c = 10.4237 Å
α = 105.37°, β = 96.33°, γ = 99.25°
Fractional coordinates of all 20 atoms:
Mg 0.2340 0.0545 0.2034
Mg 0.7660 0.9455 0.7966
Cd 0.2202 0.2397 0.9929
Cd 0.2498 0.6567 0.5973
Cd 0.2584 0.0411 0.6994
Cd 0.2585 0.2634 0.5151
Cd 0.2713 0.6549 0.1083
Cd 0.2778 0.8566 0.9082
Cd 0.7222 0.1434 0.0918
Cd 0.7287 0.3451 0.8917
Cd 0.7415 0.7366 0.4849
Cd 0.7416 0.9589 0.3006
Cd 0.7502 0.3433 0.4027
Cd 0.7798 0.7603 0.0071
Hg 0.2432 0.4583 0.8090
Hg 0.2425 0.8617 0.3959
Hg 0.2471 0.4299 0.2947
Hg 0.7529 0.5701 0.7053
Hg 0.7575 0.1383 0.6041
Hg 0.7568 0.5417 0.1910

Main lines, sorted by position (10 to 90 degrees two-theta):
2θ/deg  intensity
32.2  100
33.6  89
35.1  80
37.0  70
38.5  61
40.3  53
41.3  50
52.6  23

=====

No. 3
Simulated powder diffraction line list of MgCd14Hg for CuKα, from a GGA-PBE-relaxed structure.
Kinematic intensities with the Lorentz-polarization factor, no thermal factor.

Crystal structure
a = 11.0365 Å, b = 6.2251 Å, c = 6.2251 Å
α = 57.60°, β = 90.00°, γ = 90.00°
Fractional coordinates of all 16 atoms:
Mg 0.0000 0.0000 0.0000
Cd 0.0000 0.5007 0.9965
Cd 0.0000 0.9965 0.5007
Cd 0.2445 0.1825 0.1825
Cd 0.2494 0.1841 0.6836
Cd 0.2494 0.6836 0.1841
Cd 0.2522 0.6848 0.6848
Cd 0.5000 0.3827 0.8854
Cd 0.5000 0.3839 0.3839
Cd 0.5000 0.8838 0.8838
Cd 0.5000 0.8854 0.3827
Cd 0.7478 0.6848 0.6848
Cd 0.7506 0.1841 0.6836
Cd 0.7506 0.6836 0.1841
Cd 0.7555 0.1825 0.1825
Hg 0.0000 0.4961 0.4961

Main lines, sorted by position (10 to 90 degrees two-theta):
2θ/deg  intensity
32.4  49
32.8  16
33.9  21
35.1  17
36.8  14
37.9  100
41.2  13
61.5  23

=====

No. 4
Simulated powder diffraction line list of Mg2Cd5Hg2 for CuKα, from a GGA-PBE-relaxed structure.
Kinematic intensities with the Lorentz-polarization factor, no thermal factor.

Crystal structure
a = 9.6700 Å, b = 9.6700 Å, c = 5.1954 Å
α = 105.30°, β = 105.30°, γ = 65.04°
Fractional coordinates of all 18 atoms:
Mg 0.0000 0.0000 0.0000
Mg 0.2543 0.2460 0.3330
Mg 0.5000 0.5000 0.5000
Mg 0.7540 0.7457 0.6670
Cd 0.0040 0.4959 0.9990
Cd 0.1050 0.5965 0.5987
Cd 0.2041 0.6996 0.1998
Cd 0.3004 0.7959 0.8002
Cd 0.4035 0.8950 0.4013
Cd 0.5041 0.9960 0.0010
Cd 0.6048 0.0967 0.6019
Cd 0.7012 0.2026 0.2022
Cd 0.7974 0.2988 0.7978
Cd 0.9033 0.3952 0.3981
Hg 0.1342 0.1289 0.6957
Hg 0.3684 0.3631 0.9341
Hg 0.6369 0.6316 0.0659
Hg 0.8711 0.8658 0.3043

Main lines, sorted by position (10 to 90 degrees two-theta):
2θ/deg  intensity
19.1  74
28.7  34
30.0  47
30.1  41
34.5  99
37.9  69
38.1  74
38.8  100